[1]
# Na6Ta3AlSi6O24
Simulated PXRD pattern, CuKα. Input: a crystal structure in the Materials Project, relaxed with PBE.
Intensities are scaled so that the largest is 100.

Top 10 peaks for 5 to 70 degrees two-theta, in order of falling intensity:
2theta, I (rel.)
19.74, 100
19.64, 73
31.26, 40
19.83, 38
34.45, 36
27.94, 31
13.87, 29
34.59, 28
31.42, 27
23.09, 25

Structure:
Unit cell a=8.956 b=8.988 c=8.995 alpha=90.53 beta=119.76 gamma=119.38
Space group P1 (No. 1)
One atom of each set of equivalent atoms:
Na (0.000, 0.000, 0.000) [1 per cell]
Na (0.010, 0.517, 0.508) [1 per cell]
Na (0.121, 0.195, 0.741) [1 per cell]
Na (0.489, 0.234, 0.391) [1 per cell]
Na (0.501, 0.767, 0.626) [1 per cell]
Na (0.897, 0.787, 0.264) [1 per cell]
Ta (0.285, 0.434, 0.140) [1 per cell]
Ta (0.712, 0.070, 0.352) [1 per cell]
Ta (0.715, 0.566, 0.857) [1 per cell]
Al (0.288, 0.932, 0.646) [1 per cell]
Si (0.212, 0.246, 0.462) [1 per cell]
Si (0.212, 0.759, 0.253) [1 per cell]
Si (0.485, 0.748, 0.949) [1 per cell]
Si (0.500, 0.244, 0.031) [1 per cell]
Si (0.777, 0.232, 0.752) [1 per cell]
Si (0.796, 0.748, 0.541) [1 per cell]
O (0.012, 0.745, 0.077) [1 per cell]
O (0.016, 0.237, 0.447) [1 per cell]
O (0.195, 0.760, 0.424) [1 per cell]
O (0.203, 0.264, 0.276) [1 per cell]
O (0.213, 0.069, 0.493) [1 per cell]
O (0.220, 0.586, 0.208) [1 per cell]
O (0.333, 0.763, 0.764) [1 per cell]
O (0.338, 0.259, 0.062) [1 per cell]
O (0.355, 0.077, 0.848) [1 per cell]
O (0.357, 0.565, 0.989) [1 per cell]
O (0.425, 0.431, 0.636) [1 per cell]
O (0.427, 0.940, 0.295) [1 per cell]
O (0.564, 0.053, 0.702) [1 per cell]
O (0.574, 0.568, 0.364) [1 per cell]
O (0.629, 0.917, 0.138) [1 per cell]
O (0.641, 0.435, 0.007) [1 per cell]
O (0.661, 0.238, 0.226) [1 per cell]
O (0.663, 0.742, 0.939) [1 per cell]
O (0.779, 0.413, 0.791) [1 per cell]
O (0.786, 0.925, 0.502) [1 per cell]
O (0.794, 0.737, 0.722) [1 per cell]
O (0.801, 0.238, 0.579) [1 per cell]
O (0.987, 0.253, 0.922) [1 per cell]
O (0.990, 0.766, 0.554) [1 per cell]

[2]
# Na3AlP2
Simulated PXRD pattern, CuKα. Input: a crystal structure in the Materials Project, relaxed with PBE.
Intensities are scaled so that the largest is 100.

Top 10 peaks for 5 to 70 degrees two-theta, in order of falling intensity:
2theta, I (rel.)
33.50, 100
39.76, 88
29.43, 66
14.59, 54
13.36, 53
32.49, 44
37.82, 44
40.33, 44
36.40, 37
45.69, 34

Structure:
Unit cell a=6.832 b=13.254 c=6.061 alpha=90.00 beta=90.00 gamma=90.00
Space group Ibam (No. 72)
One atom of each set of equivalent atoms:
Na (0.000, 0.000, 0.250) [4 per cell]
Na (0.183, 0.308, 0.000) [8 per cell]
Al (0.000, 0.500, 0.250) [4 per cell]
P (0.197, 0.399, 0.500) [8 per cell]

[3]
# Na3Sr3AlP4
Simulated PXRD pattern, CuKα. Input: a crystal structure in the Materials Project, relaxed with PBE.
Intensities are scaled so that the largest is 100.

Top 10 peaks for 5 to 70 degrees two-theta, in order of falling intensity:
2theta, I (rel.)
32.65, 100
10.83, 62
38.14, 54
31.38, 46
21.75, 26
35.10, 23
62.20, 18
26.45, 17
51.07, 14
57.77, 14

Structure:
Unit cell a=9.4370 b=9.4370 c=7.3984 alpha=90.00 beta=90.00 gamma=120.00
Space group P6_3mc (No. 186)
One atom of each set of equivalent atoms:
Na (0.1359, 0.2719, 0.0000) [6 per cell]
Sr (0.0482, 0.5241, 0.3284) [6 per cell]
Al (0.3333, 0.6667, 0.7035) [2 per cell]
P (0.1918, 0.3837, 0.6085) [6 per cell]
P (0.3333, 0.6667, 0.0395) [2 per cell]